[1]
For ZrScRe2Te, a structure optimized by DFT (GGA-PBE) gives the simulated XRD peak list in this record (Cu Kα, 1.54184 Å).
Peak positions follow from Bragg's law for the DFT cell and can differ from measured ones.

Largest 6 diffraction maxima, sorted by position, 2θ = 10–90°:
| hkl | two_theta | I/Imax |
| --- | --- | --- |
| 0 0 1 | 17.98 | 83.0 |
| 1 1 1 | 31.70 | 100.0 |
| 0 0 2 | 36.42 | 46.8 |
| 2 0 0 | 36.95 | 90.1 |
| 2 0 1 | 41.38 | 42.0 |
| 2 0 2 | 52.85 | 64.1 |

Structural model:
Lattice parameters (Å, degrees): 4.8658 4.8658 4.9340 90.00 90.00 90.00
Atoms (fractional coordinates):
Zr 0.0000 0.0000 0.0000
Sc 0.5000 0.5000 0.0000
Re 0.0000 0.5000 0.5000
Re 0.5000 0.0000 0.5000
Te 0.5000 0.5000 0.5000

[2]
For Sc2TiRe3, a structure optimized by DFT (GGA-PBE) gives the simulated XRD peak list in this record (Cu Kα, 1.54184 Å).
Peak positions follow from Bragg's law for the DFT cell and can differ from measured ones.

Largest 6 diffraction maxima, sorted by position, 2θ = 10–90°:
| hkl | two_theta | I/Imax |
| --- | --- | --- |
| 0 0 1 | 20.28 | 100.0 |
| 1 1 0 | 20.57 | 41.6 |
| 3 1 0 | 39.88 | 47.1 |
| 4 0 -1 | 40.04 | 89.8 |
| 2 2 0 | 41.85 | 88.8 |
| 4 0 0 | 48.52 | 42.3 |

Structural model:
Lattice parameters (Å, degrees): 9.1508 5.2744 5.3339 90.00 124.82 90.00
Atoms (fractional coordinates):
Sc 0.1223 0.0000 0.3668
Sc 0.3777 0.5000 0.6332
Sc 0.6223 0.5000 0.3668
Sc 0.8777 0.0000 0.6332
Ti 0.0000 0.5000 0.5000
Ti 0.5000 0.0000 0.5000
Re 0.0000 0.5000 0.0000
Re 0.2500 0.2500 0.0000
Re 0.2500 0.7500 0.0000
Re 0.5000 0.0000 0.0000
Re 0.7500 0.2500 0.0000
Re 0.7500 0.7500 0.0000

[3]
For TmSc2Re, a structure optimized by DFT (GGA-PBE) gives the simulated XRD peak list in this record (Cu Kα, 1.54184 Å).
Peak positions follow from Bragg's law for the DFT cell and can differ from measured ones.

Largest 6 diffraction maxima, sorted by position, 2θ = 10–90°:
| hkl | two_theta | I/Imax |
| --- | --- | --- |
| 0 0 2 | 21.16 | 42.2 |
| 1 0 0 | 27.14 | 37.3 |
| 1 0 2 | 34.67 | 100.0 |
| 1 1 0 | 38.76 | 42.1 |
| 1 1 2 | 44.57 | 25.3 |
| 2 1 2 | 67.54 | 28.5 |

Structural model:
Lattice parameters (Å, degrees): 3.2857 3.2857 8.3981 90.00 90.00 90.00
Atoms (fractional coordinates):
Tm 0.0000 0.0000 0.0000
Sc 0.5000 0.5000 0.3161
Sc 0.5000 0.5000 0.6839
Re 0.0000 0.0000 0.5000

[4]
For ScVRe, a structure optimized by DFT (GGA-PBE) gives the simulated XRD peak list in this record (Cu Kα, 1.54184 Å).
Peak positions follow from Bragg's law for the DFT cell and can differ from measured ones.

Largest 6 diffraction maxima, sorted by position, 2θ = 10–90°:
| hkl | two_theta | I/Imax |
| --- | --- | --- |
| 1 0 1 | 20.82 | 100.0 |
| 0 0 2 | 24.16 | 25.9 |
| 1 2 1 | 40.29 | 74.1 |
| 1 0 3 | 40.57 | 41.7 |
| 0 2 2 | 42.23 | 38.6 |
| 2 0 2 | 42.36 | 37.7 |

Structural model:
Lattice parameters (Å, degrees): 5.2347 5.2592 7.3671 90.00 90.00 90.00
Atoms (fractional coordinates):
Sc 0.0000 0.2500 0.1267
Sc 0.0000 0.7500 0.8733
Sc 0.5000 0.2500 0.3733
Sc 0.5000 0.7500 0.6267
V 0.2500 0.2500 0.7500
V 0.2500 0.7500 0.2500
V 0.7500 0.2500 0.7500
V 0.7500 0.7500 0.2500
Re 0.0000 0.0000 0.5000
Re 0.0000 0.5000 0.5000
Re 0.5000 0.0000 0.0000
Re 0.5000 0.5000 0.0000